[1]
# Li2Pb13
Computed powder diffractogram, CuKα. Input: a GGA-PBE-relaxed structure.
Lines closer than 0.1° are merged.

Principal peaks in the range 2θ from 10° to 90°, by angle:
index  2θ/deg  d_spacing  I/Imax
1 0 4  20.12  4.414  38.6
0 2 1  22.52  3.948  70.1
1 0 7  31.67  2.826  23.3
2 1 4  34.05  2.633  65.8
0 3 3  35.85  2.505  100.0
0 2 7  37.26  2.413  21.2
1 3 1  40.70  2.217  18.1
3 2 4  52.57  1.741  20.1
1 2 11  56.70  1.623  17.6
3 3 0  59.79  1.547  20.0

Atomic structure:
```
data_Li2Pb13
_cell_length_a 9.2800
_cell_length_b 9.2800
_cell_length_c 21.1281
_cell_angle_alpha 90.00
_cell_angle_beta 90.00
_cell_angle_gamma 120.00
_symmetry_space_group_name_H-M 'R -3 m'
_symmetry_Int_Tables_number 166
_symmetry_space_group_name_Hall '-R 3 2"'
loop_
_atom_site_label
_atom_site_type_symbol
_atom_site_fract_x
_atom_site_fract_y
_atom_site_fract_z
Li1 Li 0.0000 0.0000 0.2398
Pb1 Pb 0.0000 0.0000 0.5000
Pb2 Pb 0.0883 0.5442 0.2990
Pb3 Pb 0.0972 0.5486 0.5641
```

---

[2]
# Li3Pb7
Computed powder diffractogram, CuKα. Input: a GGA-PBE-relaxed structure.
Lines closer than 0.1° are merged.

Principal peaks in the range 2θ from 10° to 90°, by angle:
index  2θ/deg  d_spacing  I/Imax
2 0 1  19.04  4.662  47.4
3 1 -1  26.13  3.411  33.8
1 1 -2  31.91  2.805  100.0
5 1 0  33.10  2.706  94.0
0 2 0  37.05  2.426  37.9
6 0 -2  37.52  2.397  30.8
4 0 2  38.56  2.335  30.5
6 2 -2  53.75  1.705  22.4
4 2 2  54.55  1.682  21.6
1 3 -2  63.54  1.464  27.2

Atomic structure:
```
data_Li3Pb7
_cell_length_a 16.755
_cell_length_b 4.853
_cell_length_c 6.876
_cell_angle_alpha 90.00
_cell_angle_beta 103.36
_cell_angle_gamma 90.00
_symmetry_space_group_name_H-M 'C 1 2/m 1'
_symmetry_Int_Tables_number 12
loop_
_symmetry_equiv_pos_as_xyz
'x,y,z'
'-x,-y,-z'
'-x,y,-z'
'x,-y,z'
'x+1/2,y+1/2,z'
'-x+1/2,-y+1/2,-z'
'-x+1/2,y+1/2,-z'
'x+1/2,-y+1/2,z'
loop_
_atom_site_label
_atom_site_type_symbol
_atom_site_fract_x
_atom_site_fract_y
_atom_site_fract_z
Li1 Li 0.000 0.000 0.000
Li2 Li 0.192 0.000 0.620
Pb1 Pb 0.000 0.000 0.500
Pb2 Pb 0.091 0.500 0.831
Pb3 Pb 0.115 0.500 0.333
Pb4 Pb 0.201 0.000 0.124
```

---

[3]
# Li4Pd2Pb
Computed powder diffractogram, CuKα. Input: a GGA-PBE-relaxed structure.
Lines closer than 0.1° are merged.

Principal peaks in the range 2θ from 10° to 90°, by angle:
index  2θ/deg  d_spacing  I/Imax
1 0 0  18.61  4.768  35.1
0 1 -1  19.21  4.621  68.0
1 1 1  22.32  3.983  100.0
1 -1 0  22.56  3.942  78.5
0 0 2  26.83  3.323  41.1
2 0 1  35.44  2.533  64.0
0 2 -2  38.99  2.310  67.5
-1 1 2  39.35  2.290  39.6
1 1 3  39.76  2.267  43.5
1 -1 3  41.82  2.160  34.6

Atomic structure:
```
data_Li4Pd2Pb
_cell_length_a 5.067
_cell_length_b 6.961
_cell_length_c 7.086
_cell_angle_alpha 85.32
_cell_angle_beta 70.21
_cell_angle_gamma 88.77
_symmetry_space_group_name_H-M 'P 1'
_symmetry_Int_Tables_number 1
loop_
_symmetry_equiv_pos_as_xyz
'x,y,z'
loop_
_atom_site_label
_atom_site_type_symbol
_atom_site_fract_x
_atom_site_fract_y
_atom_site_fract_z
Li1 Li 0.000 0.000 0.000
Li2 Li 0.046 0.202 0.367
Li3 Li 0.114 0.312 0.730
Li4 Li 0.272 0.618 0.408
Li5 Li 0.349 0.717 0.833
Li6 Li 0.552 0.206 0.373
Li7 Li 0.763 0.840 0.435
Li8 Li 0.837 0.711 0.803
Pd1 Pd 0.206 0.950 0.582
Pd2 Pd 0.442 0.930 0.154
Pd3 Pd 0.638 0.052 0.722
Pd4 Pd 0.689 0.461 0.581
Pb1 Pb 0.482 0.330 0.992
Pb2 Pb 0.882 0.565 0.168
```

---

Please write out number 3 again, unchanged.
# Li4Pd2Pb
Computed powder diffractogram, CuKα. Input: a GGA-PBE-relaxed structure.
Lines closer than 0.1° are merged.

Principal peaks in the range 2θ from 10° to 90°, by angle:
index  2θ/deg  d_spacing  I/Imax
1 0 0  18.61  4.768  35.1
0 1 -1  19.21  4.621  68.0
1 1 1  22.32  3.983  100.0
1 -1 0  22.56  3.942  78.5
0 0 2  26.83  3.323  41.1
2 0 1  35.44  2.533  64.0
0 2 -2  38.99  2.310  67.5
-1 1 2  39.35  2.290  39.6
1 1 3  39.76  2.267  43.5
1 -1 3  41.82  2.160  34.6

Atomic structure:
```
data_Li4Pd2Pb
_cell_length_a 5.067
_cell_length_b 6.961
_cell_length_c 7.086
_cell_angle_alpha 85.32
_cell_angle_beta 70.21
_cell_angle_gamma 88.77
_symmetry_space_group_name_H-M 'P 1'
_symmetry_Int_Tables_number 1
loop_
_symmetry_equiv_pos_as_xyz
'x,y,z'
loop_
_atom_site_label
_atom_site_type_symbol
_atom_site_fract_x
_atom_site_fract_y
_atom_site_fract_z
Li1 Li 0.000 0.000 0.000
Li2 Li 0.046 0.202 0.367
Li3 Li 0.114 0.312 0.730
Li4 Li 0.272 0.618 0.408
Li5 Li 0.349 0.717 0.833
Li6 Li 0.552 0.206 0.373
Li7 Li 0.763 0.840 0.435
Li8 Li 0.837 0.711 0.803
Pd1 Pd 0.206 0.950 0.582
Pd2 Pd 0.442 0.930 0.154
Pd3 Pd 0.638 0.052 0.722
Pd4 Pd 0.689 0.461 0.581
Pb1 Pb 0.482 0.330 0.992
Pb2 Pb 0.882 0.565 0.168
```